[1]
Structure and simulated powder XRD pattern of Ta5Au (a crystal structure in Alexandria, relaxed with GGA-PBE; Cu Kα X-rays).
No peak broadening, texture or thermal motion is included.

Structure:
```
Ta5Au
1.0
5.624 -1.393 0.000
5.624 1.393 0.000
-1.681 0.000 7.007
Ta Au
5 1
direct
0.000 0.000 0.000
0.069 0.069 0.637
0.335 0.335 0.659
0.404 0.404 0.305
0.740 0.740 0.969
0.671 0.671 0.337
```

The 10 most intense peaks (2θ = 5–70°), in order of rising 2θ:
2θ = 36.34°, d = 2.472 Å, intensity 76; 2θ = 36.67°, d = 2.451 Å, intensity 100; 2θ = 38.01°, d = 2.367 Å, intensity 85; 2θ = 38.55°, d = 2.336 Å, intensity 81; 2θ = 40.76°, d = 2.214 Å, intensity 94; 2θ = 41.01°, d = 2.201 Å, intensity 93; 2θ = 52.38°, d = 1.747 Å, intensity 27; 2θ = 52.79°, d = 1.734 Å, intensity 26; 2θ = 61.68°, d = 1.504 Å, intensity 38; 2θ = 68.62°, d = 1.368 Å, intensity 20

[2]
Structure and simulated powder XRD pattern of TaAu3 (a crystal structure in Alexandria, relaxed with GGA-PBE; Cu Kα X-rays).
No peak broadening, texture or thermal motion is included.

Structure:
```
TaAu3
1.0
2.774 0.000 0.000
0.000 4.684 0.000
-0.016 0.000 5.593
Ta Au
1 3
direct
0.000 0.000 0.000
0.496 0.500 0.239
0.500 0.000 0.500
0.504 0.500 0.761
```

The 10 most intense peaks (2θ = 5–70°), in order of rising 2θ:
2θ = 32.27°, d = 2.774 Å, intensity 22; 2θ = 36.14°, d = 2.485 Å, intensity 23; 2θ = 37.46°, d = 2.401 Å, intensity 100; 2θ = 37.69°, d = 2.387 Å, intensity 24; 2θ = 38.44°, d = 2.342 Å, intensity 47; 2θ = 41.12°, d = 2.195 Å, intensity 43; 2θ = 50.19°, d = 1.818 Å, intensity 13; 2θ = 50.33°, d = 1.813 Å, intensity 12; 2θ = 53.79°, d = 1.704 Å, intensity 15; 2θ = 68.88°, d = 1.363 Å, intensity 17

[3]
Structure and simulated powder XRD pattern of Ta2TcAu2 (a crystal structure in Alexandria, relaxed with GGA-PBE; Cu Kα X-rays).
No peak broadening, texture or thermal motion is included.

Structure:
```
Ta2TcAu2
1.0
-1.821 1.821 7.223
1.821 -1.821 7.223
1.821 1.821 -7.223
Ta Tc Au
2 1 2
direct
0.089 0.089 0.000
0.911 0.911 0.000
0.500 0.500 0.000
0.250 0.750 0.500
0.750 0.250 0.500
```

The 10 most intense peaks (2θ = 5–70°), in order of rising 2θ:
2θ = 12.25°, d = 7.223 Å, intensity 14; 2θ = 24.65°, d = 3.611 Å, intensity 13; 2θ = 25.22°, d = 3.531 Å, intensity 25; 2θ = 37.06°, d = 2.426 Å, intensity 100; 2θ = 37.35°, d = 2.408 Å, intensity 24; 2θ = 39.83°, d = 2.263 Å, intensity 37; 2θ = 43.14°, d = 2.097 Å, intensity 42; 2θ = 50.09°, d = 1.821 Å, intensity 37; 2θ = 64.12°, d = 1.452 Å, intensity 20; 2θ = 65.83°, d = 1.419 Å, intensity 17

[4]
Structure and simulated powder XRD pattern of TaTe4Au3 (a crystal structure in Alexandria, relaxed with GGA-PBE; Cu Kα X-rays).
No peak broadening, texture or thermal motion is included.

Structure:
```
TaTe4Au3
1.0
6.357 0.000 0.000
0.000 6.357 0.000
0.000 0.000 6.357
Ta Te Au
1 4 3
direct
0.000 0.000 0.000
0.248 0.248 0.248
0.248 0.752 0.752
0.752 0.248 0.752
0.752 0.752 0.248
0.000 0.000 0.500
0.000 0.500 0.000
0.500 0.000 0.000
```

The 10 most intense peaks (2θ = 5–70°), in order of rising 2θ:
2θ = 13.93°, d = 6.357 Å, intensity 59; 2θ = 24.25°, d = 3.670 Å, intensity 65; 2θ = 31.47°, d = 2.843 Å, intensity 33; 2θ = 40.12°, d = 2.247 Å, intensity 100; 2θ = 42.67°, d = 2.119 Å, intensity 19; 2θ = 47.43°, d = 1.917 Å, intensity 32; 2θ = 51.86°, d = 1.763 Å, intensity 9; 2θ = 58.04°, d = 1.589 Å, intensity 17; 2θ = 60.00°, d = 1.542 Å, intensity 11; 2θ = 63.83°, d = 1.458 Å, intensity 13

[5]
Structure and simulated powder XRD pattern of TaTlW2Au (a crystal structure in Alexandria, relaxed with GGA-PBE; Cu Kα X-rays).
No peak broadening, texture or thermal motion is included.

Structure:
```
TaTlW2Au
1.0
4.848 0.000 0.000
0.000 4.848 0.000
0.000 0.000 5.355
Ta Tl W Au
1 1 2 1
direct
0.000 0.000 0.000
0.000 0.000 0.500
0.000 0.500 0.000
0.500 0.000 0.000
0.500 0.500 0.500
```

The 10 most intense peaks (2θ = 5–70°), in order of rising 2θ:
2θ = 18.30°, d = 4.848 Å, intensity 18; 2θ = 24.77°, d = 3.594 Å, intensity 16; 2θ = 30.97°, d = 2.887 Å, intensity 100; 2θ = 33.47°, d = 2.677 Å, intensity 53; 2θ = 37.09°, d = 2.424 Å, intensity 81; 2θ = 50.81°, d = 1.797 Å, intensity 67; 2θ = 53.45°, d = 1.714 Å, intensity 29; 2θ = 58.28°, d = 1.583 Å, intensity 17; 2θ = 63.07°, d = 1.474 Å, intensity 27; 2θ = 64.55°, d = 1.444 Å, intensity 33

[6]
Structure and simulated powder XRD pattern of TaWAu (a crystal structure in Alexandria, relaxed with GGA-PBE; Cu Kα X-rays).
No peak broadening, texture or thermal motion is included.

Structure:
```
TaWAu
1.0
3.320 0.000 0.000
0.000 3.320 0.000
0.000 0.000 9.383
Ta W Au
2 2 2
direct
0.250 0.250 0.249
0.750 0.750 0.751
0.250 0.250 0.918
0.750 0.750 0.082
0.250 0.250 0.587
0.750 0.750 0.413
```

The 4 most intense peaks (2θ = 5–70°), in order of rising 2θ:
2θ = 38.35°, d = 2.347 Å, intensity 55; 2θ = 39.59°, d = 2.276 Å, intensity 100; 2θ = 55.35°, d = 1.660 Å, intensity 19; 2θ = 59.07°, d = 1.564 Å, intensity 8

[7]
Structure and simulated powder XRD pattern of Ta4WAu (a crystal structure in Alexandria, relaxed with GGA-PBE; Cu Kα X-rays).
No peak broadening, texture or thermal motion is included.

Structure:
```
Ta4WAu
1.0
0.000 3.807 3.807
3.807 0.000 3.807
3.807 3.807 0.000
Ta W Au
4 1 1
direct
0.123 0.123 0.123
0.123 0.123 0.631
0.123 0.631 0.123
0.631 0.123 0.123
0.750 0.750 0.750
0.500 0.500 0.500
```

The 9 most intense peaks (2θ = 5–70°), in order of rising 2θ:
2θ = 20.20°, d = 4.395 Å, intensity 4; 2θ = 33.29°, d = 2.692 Å, intensity 29; 2θ = 39.25°, d = 2.295 Å, intensity 100; 2θ = 41.07°, d = 2.198 Å, intensity 38; 2θ = 47.79°, d = 1.903 Å, intensity 4; 2θ = 52.39°, d = 1.747 Å, intensity 1; 2θ = 59.48°, d = 1.554 Å, intensity 11; 2θ = 63.50°, d = 1.465 Å, intensity 33; 2θ = 69.90°, d = 1.346 Å, intensity 28

[8]
Structure and simulated powder XRD pattern of TbAu6 (a crystal structure in Alexandria, relaxed with GGA-PBE; Cu Kα X-rays).
No peak broadening, texture or thermal motion is included.

Structure:
```
TbAu6
1.0
10.502 0.000 0.000
0.000 10.502 0.000
0.000 0.000 9.947
Tb Au
8 48
direct
0.073 0.073 0.211
0.073 0.427 0.711
0.427 0.073 0.711
0.427 0.427 0.211
0.573 0.573 0.789
0.573 0.927 0.289
0.927 0.573 0.289
0.927 0.927 0.789
0.000 0.000 0.500
0.000 0.500 0.000
0.014 0.680 0.578
0.014 0.820 0.078
0.122 0.698 0.854
0.122 0.802 0.354
0.149 0.149 0.679
0.149 0.351 0.179
0.180 0.514 0.422
0.180 0.986 0.922
0.198 0.622 0.146
0.198 0.878 0.646
0.250 0.250 0.432
0.250 0.250 0.932
0.302 0.622 0.646
0.302 0.878 0.146
0.320 0.514 0.922
0.320 0.986 0.422
0.351 0.149 0.179
0.351 0.351 0.679
0.378 0.698 0.354
0.378 0.802 0.854
0.486 0.680 0.078
0.486 0.820 0.578
0.500 0.000 0.000
0.500 0.500 0.500
0.514 0.180 0.422
0.514 0.320 0.922
0.622 0.198 0.146
0.622 0.302 0.646
0.649 0.649 0.321
0.649 0.851 0.821
0.680 0.014 0.578
0.680 0.486 0.078
0.698 0.122 0.854
0.698 0.378 0.354
0.750 0.750 0.068
0.750 0.750 0.568
0.802 0.122 0.354
0.802 0.378 0.854
0.820 0.014 0.078
0.820 0.486 0.578
0.851 0.649 0.821
0.851 0.851 0.321
0.878 0.198 0.646
0.878 0.302 0.146
0.986 0.180 0.922
0.986 0.320 0.422
```

The 10 most intense peaks (2θ = 5–70°), in order of rising 2θ:
2θ = 33.07°, d = 2.709 Å, intensity 23; 2θ = 36.30°, d = 2.475 Å, intensity 26; 2θ = 36.41°, d = 2.468 Å, intensity 72; 2θ = 37.16°, d = 2.420 Å, intensity 49; 2θ = 37.44°, d = 2.402 Å, intensity 81; 2θ = 38.36°, d = 2.346 Å, intensity 56; 2θ = 38.78°, d = 2.322 Å, intensity 33; 2θ = 39.76°, d = 2.267 Å, intensity 100; 2θ = 41.26°, d = 2.188 Å, intensity 22; 2θ = 69.38°, d = 1.355 Å, intensity 22